1.
# Li6HgPb5
Theoretical powder X-ray diffraction pattern, Cu Kα (λ = 1.5418 Å). Input: a crystal structure in Alexandria, relaxed with GGA-PBE.

Principal peaks in the range 2θ = 5–70°, low angle first:
d [Å], 2theta, I/Imax
3.593, 24.78, 76.7
3.503, 25.42, 72.2
3.475, 25.63, 71.1
2.521, 35.62, 33.7
2.497, 35.96, 100.0
2.467, 36.42, 64.4
2.040, 44.40, 33.5
2.027, 44.70, 33.4
1.564, 59.05, 29.4
1.430, 65.24, 24.2

Cell and atoms:
Cell: 4.994 6.950 7.906 Å, 90.00 106.96 90.00°
Atoms (fractional coordinates):
1 Li 0.000 0.235 0.000
2 Li 0.000 0.765 0.000
3 Li 0.340 0.246 0.681
4 Li 0.340 0.754 0.681
5 Li 0.660 0.246 0.319
6 Li 0.660 0.754 0.319
7 Hg 0.500 0.000 0.000
8 Pb 0.169 0.500 0.338
9 Pb 0.173 0.000 0.344
10 Pb 0.500 0.500 0.000
11 Pb 0.827 0.000 0.656
12 Pb 0.831 0.500 0.662


2.
# Li6Hg3Pb
Theoretical powder X-ray diffraction pattern, Cu Kα (λ = 1.5418 Å). Input: a crystal structure in Alexandria, relaxed with GGA-PBE.

Principal peaks in the range 2θ = 5–70°, low angle first:
d [Å], 2theta, I/Imax
3.506, 25.40, 60.0
3.272, 27.26, 100.0
2.392, 37.60, 97.5
2.317, 38.87, 20.8
2.310, 39.00, 23.2
1.933, 47.01, 22.2
1.929, 47.12, 23.6
1.545, 59.86, 21.5
1.482, 62.67, 18.1
1.349, 69.72, 16.5

Cell and atoms:
Cell: 8.408 4.619 9.907 Å, 90.00 102.76 90.00°
Atoms (fractional coordinates):
1 Li 0.037 0.250 0.401
2 Li 0.130 0.750 0.197
3 Li 0.241 0.250 0.985
4 Li 0.338 0.750 0.795
5 Li 0.343 0.250 0.299
6 Li 0.439 0.250 0.595
7 Li 0.561 0.750 0.405
8 Li 0.657 0.750 0.701
9 Li 0.662 0.250 0.205
10 Li 0.759 0.750 0.015
11 Li 0.870 0.250 0.803
12 Li 0.963 0.750 0.599
13 Hg 0.037 0.750 0.893
14 Hg 0.148 0.250 0.687
15 Hg 0.265 0.750 0.489
16 Hg 0.735 0.250 0.511
17 Hg 0.852 0.750 0.313
18 Hg 0.963 0.250 0.107
19 Pb 0.437 0.750 0.110
20 Pb 0.563 0.250 0.890


3.
# LiHgPtPb
Theoretical powder X-ray diffraction pattern, Cu Kα (λ = 1.5418 Å). Input: a crystal structure in Alexandria, relaxed with GGA-PBE.

Principal peaks in the range 2θ = 5–70°, low angle first:
d [Å], 2theta, I/Imax
3.918, 22.70, 22.7
3.393, 26.26, 14.8
2.399, 37.48, 100.0
2.046, 44.27, 12.1
1.959, 46.35, 4.5
1.697, 54.05, 17.7
1.557, 59.36, 5.1
1.517, 61.07, 6.0
1.385, 67.63, 36.6

Cell and atoms:
Cell: 4.799 4.799 4.799 Å, 60.00 60.00 60.00°
Atoms (fractional coordinates):
1 Li 0.000 0.000 0.000
2 Hg 0.250 0.250 0.250
3 Pt 0.500 0.500 0.500
4 Pb 0.750 0.750 0.750


4.
# LiHgSbPb
Theoretical powder X-ray diffraction pattern, Cu Kα (λ = 1.5418 Å). Input: a crystal structure in Alexandria, relaxed with GGA-PBE.

Principal peaks in the range 2θ = 5–70°, low angle first:
d [Å], 2theta, I/Imax
3.848, 23.12, 71.9
3.060, 29.18, 67.3
2.770, 32.32, 100.0
2.267, 39.77, 21.3
2.265, 39.79, 40.4
1.821, 50.10, 15.5
1.755, 52.11, 17.7
1.751, 52.24, 23.5
1.388, 67.50, 19.9
1.385, 67.67, 14.9

Cell and atoms:
Cell: 4.531 4.531 7.012 Å, 108.65 108.65 60.02°
Atoms (fractional coordinates):
1 Li 0.000 0.000 0.000
2 Hg 0.595 0.595 0.786
3 Sb 0.393 0.393 0.176
4 Pb 0.809 0.809 0.427


5.
# Li8Hg2Pd3
Theoretical powder X-ray diffraction pattern, Cu Kα (λ = 1.5418 Å). Input: a crystal structure in Alexandria, relaxed with GGA-PBE.

Principal peaks in the range 2θ = 5–70°, low angle first:
d [Å], 2theta, I/Imax
4.558, 19.48, 28.2
3.819, 23.29, 100.0
3.670, 24.25, 52.0
3.498, 25.46, 63.7
3.095, 28.85, 50.7
2.751, 32.54, 79.5
2.279, 39.54, 34.0
2.254, 40.00, 62.9
2.163, 41.77, 69.3
1.909, 47.62, 23.6

Cell and atoms:
Cell: 7.801 7.801 4.558 Å, 90.00 90.00 127.49°
Atoms (fractional coordinates):
1 Li 0.105 0.895 0.000
2 Li 0.214 0.404 0.500
3 Li 0.333 0.667 0.000
4 Li 0.404 0.214 0.500
5 Li 0.596 0.786 0.500
6 Li 0.667 0.333 0.000
7 Li 0.786 0.596 0.500
8 Li 0.895 0.105 0.000
9 Hg 0.220 0.780 0.500
10 Hg 0.780 0.220 0.500
11 Pd 0.000 0.000 0.500
12 Pd 0.307 0.307 0.000
13 Pd 0.693 0.693 0.000


6.
# Li5HgPd5
Theoretical powder X-ray diffraction pattern, Cu Kα (λ = 1.5418 Å). Input: a crystal structure in Alexandria, relaxed with GGA-PBE.

Principal peaks in the range 2θ = 5–70°, low angle first:
d [Å], 2theta, I/Imax
4.471, 19.86, 39.0
4.277, 20.77, 100.0
3.677, 24.21, 40.0
3.309, 26.94, 22.3
2.674, 33.51, 23.5
2.496, 35.98, 50.4
2.450, 36.68, 30.2
2.236, 40.34, 46.4
2.170, 41.61, 40.3
2.136, 42.30, 71.7

Cell and atoms:
Cell: 5.026 5.293 6.638 Å, 100.03 98.43 97.84°
Atoms (fractional coordinates):
1 Li 0.000 0.000 0.000
2 Li 0.269 0.508 0.120
3 Li 0.295 0.982 0.381
4 Li 0.705 0.018 0.619
5 Li 0.731 0.492 0.880
6 Hg 0.500 0.000 0.000
7 Pd 0.085 0.714 0.659
8 Pd 0.201 0.248 0.734
9 Pd 0.500 0.500 0.500
10 Pd 0.799 0.752 0.266
11 Pd 0.915 0.286 0.341


7.
# Li6HgPd5
Theoretical powder X-ray diffraction pattern, Cu Kα (λ = 1.5418 Å). Input: a crystal structure in Alexandria, relaxed with GGA-PBE.

Principal peaks in the range 2θ = 5–70°, low angle first:
d [Å], 2theta, I/Imax
3.045, 29.33, 51.1
3.024, 29.54, 100.0
2.149, 42.04, 45.0
2.143, 42.17, 66.8
2.132, 42.39, 22.0
1.752, 52.20, 30.2
1.743, 52.50, 9.9
1.512, 61.31, 14.5
1.362, 68.96, 9.1
1.356, 69.32, 17.4

Cell and atoms:
Cell: 7.426 7.426 4.264 Å, 106.58 106.58 120.05°
Atoms (fractional coordinates):
1 Li 0.069 0.413 0.741
2 Li 0.232 0.232 0.232
3 Li 0.413 0.069 0.741
4 Li 0.587 0.931 0.259
5 Li 0.768 0.768 0.768
6 Li 0.931 0.587 0.259
7 Hg 0.500 0.500 0.000
8 Pd 0.000 0.000 0.500
9 Pd 0.168 0.832 0.000
10 Pd 0.338 0.662 0.500
11 Pd 0.662 0.338 0.500
12 Pd 0.832 0.168 0.000


8.
# Li4Hg5Pd2
Theoretical powder X-ray diffraction pattern, Cu Kα (λ = 1.5418 Å). Input: a crystal structure in Alexandria, relaxed with GGA-PBE.

Principal peaks in the range 2θ = 5–70°, low angle first:
d [Å], 2theta, I/Imax
3.752, 23.71, 100.0
3.099, 28.81, 32.1
2.389, 37.65, 68.6
2.343, 38.42, 13.1
2.337, 38.53, 32.1
2.322, 38.79, 36.4
2.207, 40.90, 42.0
1.606, 57.38, 14.3
1.594, 57.84, 13.1
1.432, 65.14, 14.3

Cell and atoms:
Cell: 7.675 17.225 3.099 Å, 90.00 90.00 90.00°
Atoms (fractional coordinates):
1 Li 0.129 0.160 0.000
2 Li 0.210 0.434 0.000
3 Li 0.290 0.934 0.000
4 Li 0.371 0.660 0.000
5 Li 0.629 0.340 0.000
6 Li 0.710 0.066 0.000
7 Li 0.790 0.566 0.000
8 Li 0.871 0.840 0.000
9 Hg 0.000 0.000 0.500
10 Hg 0.127 0.567 0.500
11 Hg 0.191 0.801 0.500
12 Hg 0.309 0.301 0.500
13 Hg 0.373 0.067 0.500
14 Hg 0.500 0.500 0.500
15 Hg 0.627 0.933 0.500
16 Hg 0.691 0.699 0.500
17 Hg 0.809 0.199 0.500
18 Hg 0.873 0.433 0.500
19 Pd 0.003 0.693 0.000
20 Pd 0.497 0.193 0.000
21 Pd 0.503 0.807 0.000
22 Pd 0.997 0.307 0.000


9.
# Li9Hg3Pd2
Theoretical powder X-ray diffraction pattern, Cu Kα (λ = 1.5418 Å). Input: a crystal structure in Alexandria, relaxed with GGA-PBE.

Principal peaks in the range 2θ = 5–70°, low angle first:
d [Å], 2theta, I/Imax
5.107, 17.36, 50.1
3.866, 23.01, 100.0
2.754, 32.51, 22.5
2.496, 35.98, 26.7
2.426, 37.06, 44.6
2.380, 37.80, 16.7
2.243, 40.21, 36.1
2.088, 43.33, 14.7
1.873, 48.60, 22.0
1.602, 57.54, 13.9

Cell and atoms:
Cell: 7.795 7.795 7.795 Å, 148.92 98.14 90.12°
Atoms (fractional coordinates):
1 Li 0.000 0.000 0.000
2 Li 0.080 0.862 0.218
3 Li 0.248 0.374 0.874
4 Li 0.356 0.138 0.218
5 Li 0.500 0.374 0.126
6 Li 0.500 0.626 0.874
7 Li 0.644 0.862 0.782
8 Li 0.752 0.626 0.126
9 Li 0.920 0.138 0.782
10 Hg 0.217 0.717 0.500
11 Hg 0.500 0.000 0.500
12 Hg 0.783 0.283 0.500
13 Pd 0.152 0.500 0.652
14 Pd 0.848 0.500 0.348


10.
# Li8HgPd3
Theoretical powder X-ray diffraction pattern, Cu Kα (λ = 1.5418 Å). Input: a crystal structure in Alexandria, relaxed with GGA-PBE.

Principal peaks in the range 2θ = 5–70°, low angle first:
d [Å], 2theta, I/Imax
3.931, 22.62, 100.0
3.722, 23.91, 42.1
2.580, 34.78, 38.1
2.364, 38.06, 25.5
2.314, 38.91, 15.2
2.187, 41.28, 25.6
1.996, 45.45, 38.1
1.965, 46.19, 14.5
1.723, 53.17, 22.5
1.462, 63.63, 12.5

Cell and atoms:
Cell: 8.766 7.936 5.384 Å, 79.81 63.00 37.19°
Atoms (fractional coordinates):
1 Li 0.082 0.589 0.918
2 Li 0.146 0.663 0.337
3 Li 0.337 0.854 0.146
4 Li 0.411 0.918 0.589
5 Li 0.589 0.082 0.411
6 Li 0.663 0.146 0.854
7 Li 0.854 0.337 0.663
8 Li 0.918 0.411 0.082
9 Hg 0.500 0.500 0.500
10 Pd 0.000 0.000 0.000
11 Pd 0.250 0.250 0.250
12 Pd 0.750 0.750 0.750


11.
# Li8HgPd5
Theoretical powder X-ray diffraction pattern, Cu Kα (λ = 1.5418 Å). Input: a crystal structure in Alexandria, relaxed with GGA-PBE.

Principal peaks in the range 2θ = 5–70°, low angle first:
d [Å], 2theta, I/Imax
5.370, 16.51, 32.7
3.139, 28.43, 64.6
3.026, 29.52, 100.0
2.685, 33.37, 15.4
2.476, 36.28, 22.2
2.333, 38.59, 32.5
2.317, 38.87, 20.7
2.051, 44.15, 23.3
1.998, 45.39, 18.3
1.638, 56.15, 15.1

Cell and atoms:
Cell: 6.512 6.512 6.512 Å, 111.55 111.55 105.40°
Atoms (fractional coordinates):
1 Li 0.107 0.675 0.754
2 Li 0.168 0.267 0.758
3 Li 0.325 0.079 0.432
4 Li 0.510 0.410 0.242
5 Li 0.590 0.832 0.099
6 Li 0.647 0.893 0.568
7 Li 0.733 0.490 0.901
8 Li 0.921 0.353 0.246
9 Hg 0.000 0.000 0.000
10 Pd 0.201 0.614 0.156
11 Pd 0.386 0.542 0.587
12 Pd 0.458 0.045 0.844
13 Pd 0.750 0.250 0.500
14 Pd 0.955 0.799 0.413


12.
# LiHgPd4
Theoretical powder X-ray diffraction pattern, Cu Kα (λ = 1.5418 Å). Input: a crystal structure in Alexandria, relaxed with GGA-PBE.

Principal peaks in the range 2θ = 5–70°, low angle first:
d [Å], 2theta, I/Imax
7.108, 12.45, 42.1
4.592, 19.33, 23.9
2.810, 31.84, 17.9
2.497, 35.97, 24.9
2.438, 36.87, 14.1
2.369, 37.98, 26.3
2.296, 39.24, 44.1
2.194, 41.14, 100.0
2.190, 41.22, 35.8
2.106, 42.96, 35.4

Cell and atoms:
Cell: 2.937 4.592 7.255 Å, 90.15 101.55 90.00°
Atoms (fractional coordinates):
1 Li 0.000 0.000 0.000
2 Hg 0.791 0.499 0.580
3 Pd 0.123 0.498 0.244
4 Pd 0.341 0.000 0.681
5 Pd 0.462 0.501 0.923
6 Pd 0.657 0.999 0.313